1.
The following is a computed XRD peak list of LiVF5. It was derived from a DFT-relaxed cell (PBE+U, the Materials Project), using Cu Kα, 1.54184 Å.

Structural model:
Lattice parameters (Å, degrees): 6.4912 7.4626 14.8168 90.00 94.74 90.00
Space group P2_1/c (No. 14)
One atom of each set of equivalent atoms:
Li1 0.0021 0.2309 0.4008 (multiplicity 4)
Li2 0.3294 0.5545 0.4330 (multiplicity 4)
V1 0.1792 0.1916 0.1280 (multiplicity 4)
V2 0.4944 0.1265 0.3446 (multiplicity 4)
F1 0.0166 0.5026 0.3966 (multiplicity 4)
F2 0.0340 0.1991 0.7078 (multiplicity 4)
F3 0.0600 0.1920 0.5277 (multiplicity 4)
F4 0.2793 0.0370 0.4010 (multiplicity 4)
F5 0.3143 0.6965 0.0617 (multiplicity 4)
F6 0.3150 0.6677 0.2341 (multiplicity 4)
F7 0.3156 0.0581 0.2289 (multiplicity 4)
F8 0.3616 0.0804 0.0502 (multiplicity 4)
F9 0.3651 0.1515 0.8480 (multiplicity 4)
F10 0.3963 0.1271 0.6446 (multiplicity 4)

Principal peaks in the range 15 to 90 degrees two-theta, by angle:
| index | 2θ (°) | Rel. int. |
| --- | --- | --- |
| 1 0 -2 | 17.46 | 1000 |
| 1 1 0 | 18.15 | 933 |
| 1 1 -2 | 21.16 | 835 |
| 1 1 2 | 22.43 | 642 |
| 0 0 4 | 24.11 | 529 |
| 0 2 1 | 24.61 | 586 |
| 1 1 3 | 26.49 | 540 |
| 1 1 4 | 31.26 | 643 |


2.
The following is a computed XRD peak list of LiVF5. It was derived from a DFT-relaxed cell (PBE+U, the Materials Project), using Cu Kα, 1.54184 Å.

Structural model:
Lattice parameters (Å, degrees): 7.7092 5.7298 16.8136 90.00 90.00 90.00
Space group Pnma (No. 62)
One atom of each set of equivalent atoms:
Li1 0.1844 0.2500 0.0837 (multiplicity 4)
Li2 0.2200 0.2500 0.5694 (multiplicity 4)
V1 0.0576 0.2500 0.3578 (multiplicity 4)
V2 0.1121 0.2500 0.8761 (multiplicity 4)
F1 0.0175 0.2500 0.7803 (multiplicity 4)
F2 0.0225 0.2500 0.2538 (multiplicity 4)
F3 0.0472 0.5288 0.0839 (multiplicity 8)
F4 0.1164 0.5274 0.6185 (multiplicity 8)
F5 0.1332 0.2500 0.4619 (multiplicity 4)
F6 0.2290 0.5011 0.3398 (multiplicity 8)
F7 0.2367 0.2500 0.9695 (multiplicity 4)

Principal peaks in the range 15 to 90 degrees two-theta, by angle:
| index | 2θ (°) | Rel. int. |
| --- | --- | --- |
| 1 0 2 | 15.60 | 308 |
| 0 0 4 | 21.14 | 369 |
| 1 1 2 | 22.03 | 1000 |
| 2 1 0 | 27.90 | 284 |
| 2 0 6 | 39.80 | 89 |
| 2 2 2 | 40.68 | 157 |
| 3 2 2 | 48.83 | 270 |
| 3 2 6 | 58.43 | 100 |


3.
The following is a computed XRD peak list of LiVF6. It was derived from a DFT-relaxed cell (PBE+U, the Materials Project), using Cu Kα, 1.54184 Å.

Structural model:
Lattice parameters (Å, degrees): 5.7056 5.7056 4.8421 90.00 90.00 120.00
Space group P3m1 (No. 156)
One atom of each set of equivalent atoms:
Li1 0.0000 0.0000 0.0000 (multiplicity 1)
V1 0.6667 0.3333 0.3144 (multiplicity 1)
F1 0.3653 0.1826 0.0834 (multiplicity 3)
F2 0.5140 0.0280 0.5173 (multiplicity 3)

Principal peaks in the range 15 to 90 degrees two-theta, by angle:
| index | 2θ (°) | Rel. int. |
| --- | --- | --- |
| 1 0 0 | 17.95 | 1000 |
| 0 0 1 | 18.32 | 259 |
| 1 0 1 | 25.76 | 531 |
| 2 0 1 | 41.01 | 320 |
| 1 1 2 | 49.37 | 108 |
| 2 1 1 | 52.52 | 140 |
| 2 0 2 | 52.95 | 166 |
| 2 2 0 | 65.43 | 77 |


4.
The following is a computed XRD peak list of Li2VF4. It was derived from a DFT-relaxed cell (PBE+U, the Materials Project), using Cu Kα, 1.54184 Å.

Structural model:
Lattice parameters (Å, degrees): 12.2480 6.0111 9.0357 90.00 90.00 90.00
Space group Pna2_1 (No. 33)
One atom of each set of equivalent atoms:
Li1 0.0449 0.1237 0.0000 (multiplicity 4)
Li2 0.1107 0.7224 0.1974 (multiplicity 4)
Li3 0.1336 0.2848 0.7157 (multiplicity 4)
Li4 0.2248 0.7561 0.9377 (multiplicity 4)
V1 0.0521 0.2483 0.3411 (multiplicity 4)
V2 0.1934 0.7881 0.5613 (multiplicity 4)
F1 0.0047 0.4575 0.7484 (multiplicity 4)
F2 0.0462 0.9015 0.6764 (multiplicity 4)
F3 0.0797 0.8100 0.9897 (multiplicity 4)
F4 0.0910 0.9022 0.3874 (multiplicity 4)
F5 0.1498 0.4439 0.4965 (multiplicity 4)
F6 0.1701 0.2529 0.9238 (multiplicity 4)
F7 0.2124 0.1908 0.2451 (multiplicity 4)
F8 0.2502 0.1087 0.6266 (multiplicity 4)

Principal peaks in the range 15 to 90 degrees two-theta, by angle:
| index | 2θ (°) | Rel. int. |
| --- | --- | --- |
| 2 0 1 | 17.49 | 756 |
| 0 1 1 | 17.72 | 834 |
| 2 1 1 | 22.95 | 843 |
| 2 0 2 | 24.48 | 1000 |
| 2 1 2 | 28.70 | 843 |
| 0 2 0 | 29.72 | 466 |
| 4 0 3 | 42.08 | 711 |
| 4 1 4 | 52.60 | 439 |


5.
The following is a computed XRD peak list of LiVF6. It was derived from a DFT-relaxed cell (PBE+U, the Materials Project), using Cu Kα, 1.54184 Å.

Structural model:
Lattice parameters (Å, degrees): 9.4307 5.4084 9.8663 90.00 90.91 90.00
Space group Cc (No. 9)
One atom of each set of equivalent atoms:
Li1 0.0000 0.1646 0.0000 (multiplicity 4)
V1 0.3237 0.1794 0.1788 (multiplicity 4)
F1 0.1941 0.0169 0.2714 (multiplicity 4)
F2 0.2027 0.1670 0.0318 (multiplicity 4)
F3 0.2553 0.4715 0.2264 (multiplicity 4)
F4 0.4102 0.1091 0.6258 (multiplicity 4)
F5 0.4441 0.1898 0.3265 (multiplicity 4)
F6 0.4517 0.3422 0.0700 (multiplicity 4)

Principal peaks in the range 15 to 90 degrees two-theta, by angle:
| index | 2θ (°) | Rel. int. |
| --- | --- | --- |
| 0 0 2 | 17.98 | 730 |
| 2 0 0 | 18.85 | 752 |
| 1 1 -1 | 20.90 | 1000 |
| 1 1 1 | 21.03 | 331 |
| 2 0 2 | 26.35 | 374 |
| 2 2 -1 | 39.41 | 138 |
| 2 0 4 | 41.59 | 195 |
| 3 1 -3 | 42.88 | 132 |


6.
The following is a computed XRD peak list of LiVF6. It was derived from a DFT-relaxed cell (PBE+U, the Materials Project), using Cu Kα, 1.54184 Å.

Structural model:
Lattice parameters (Å, degrees): 4.8481 4.8481 8.8442 90.00 90.00 90.00
Space group P4_2nm (No. 102)
One atom of each set of equivalent atoms:
Li1 0.0000 0.0000 0.0000 (multiplicity 2)
V1 0.0000 0.0000 0.6484 (multiplicity 2)
F1 0.1771 0.1771 0.8010 (multiplicity 4)
F2 0.1967 0.1967 0.5106 (multiplicity 4)
F3 0.2348 0.2348 0.1400 (multiplicity 4)

Principal peaks in the range 15 to 90 degrees two-theta, by angle:
| index | 2θ (°) | Rel. int. |
| --- | --- | --- |
| 0 0 2 | 20.08 | 340 |
| 1 0 1 | 20.90 | 1000 |
| 1 1 0 | 25.99 | 335 |
| 1 1 2 | 33.06 | 157 |
| 1 1 3 | 40.35 | 398 |
| 2 1 3 | 52.38 | 211 |
| 2 2 0 | 53.46 | 136 |
| 3 0 3 | 65.91 | 125 |